No. 1
Structure and calculated X-ray diffraction stick pattern of LiTl2Pd8 (a cell relaxed with PBE; CuKα).
Intensities are scaled so that the largest is 100.

Top 12 peaks for 10 to 80 degrees two-theta, by intensity:
| 2θ (°) | intensity | index |
| --- | --- | --- |
| 40.89 | 100 | 1 2 3 |
| 39.55 | 33 | 2 0 0 |
| 39.80 | 32 | 1 0 5 |
| 31.99 | 22 | 0 2 2 |
| 72.65 | 18 | 3 2 3 |
| 13.57 | 15 | 0 0 2 |
| 41.52 | 14 | 0 0 6 |
| 78.44 | 13 | 2 2 8 |
| 64.57 | 12 | 0 2 8 |
| 51.74 | 12 | 2 2 2 |
| 35.72 | 11 | 1 2 1 |
| 58.68 | 10 | 2 0 6 |

```
data_LiTl2Pd8
_chemical_formula_sum 'Li2 Tl4 Pd16'
_cell_length_a 4.5577
_cell_length_b 6.1937
_cell_length_c 13.0497
_cell_angle_alpha 90.00
_cell_angle_beta 90.00
_cell_angle_gamma 90.00
_symmetry_space_group_name_H-M 'I m m m'
_symmetry_Int_Tables_number 71
_symmetry_space_group_name_Hall '-I 2 2'
loop_
_atom_site_label
_atom_site_fract_x
_atom_site_fract_y
_atom_site_fract_z
_atom_site_occupancy
Li1 0.0000 0.0000 0.0000 1
Tl1 0.0000 0.0000 0.3112 1
Pd1 0.0000 0.2376 0.5000 1
Pd2 0.0000 0.2667 0.1361 1
Pd3 0.0000 0.5000 0.3310 1
```


No. 2
Structure and calculated X-ray diffraction stick pattern of LiTlPd14 (a cell relaxed with PBE; CuKα).
Intensities are scaled so that the largest is 100.

Top 12 peaks for 10 to 80 degrees two-theta, by intensity:
| 2θ (°) | intensity | index |
| --- | --- | --- |
| 42.11 | 100 | 2 2 2 |
| 39.04 | 54 | 4 0 0 |
| 42.22 | 48 | 2 0 4 |
| 38.40 | 42 | 1 2 2 |
| 47.80 | 34 | 3 0 4 |
| 72.85 | 29 | 6 2 2 |
| 67.01 | 22 | 0 2 6 |
| 38.51 | 21 | 1 0 4 |
| 63.36 | 14 | 5 0 4 |
| 20.70 | 14 | 1 1 1 |
| 66.78 | 11 | 0 4 0 |
| 18.30 | 8 | 0 1 1 |

```
data_LiTlPd14
_chemical_formula_sum 'Li2 Tl2 Pd28'
_cell_length_a 9.2296
_cell_length_b 5.6033
_cell_length_c 9.6658
_cell_angle_alpha 90.00
_cell_angle_beta 90.00
_cell_angle_gamma 90.00
_symmetry_space_group_name_H-M 'A m m 2'
_symmetry_Int_Tables_number 38
_symmetry_space_group_name_Hall 'A 2 -2'
loop_
_atom_site_label
_atom_site_fract_x
_atom_site_fract_y
_atom_site_fract_z
_atom_site_occupancy
Li1 0.0000 0.0000 0.0000 1
Tl1 0.0000 0.0000 0.4995 1
Pd1 0.0000 0.2494 0.2491 1
Pd2 0.2479 0.0000 0.8318 1
Pd3 0.2505 0.2474 0.0811 1
Pd4 0.2521 0.0000 0.3300 1
Pd5 0.5000 0.0000 0.1647 1
Pd6 0.5000 0.0000 0.6649 1
Pd7 0.5000 0.2489 0.9143 1
```


No. 3
Structure and calculated X-ray diffraction stick pattern of Li2Tl3Pd4 (a cell relaxed with PBE; CuKα).
Intensities are scaled so that the largest is 100.

Top 12 peaks for 10 to 80 degrees two-theta, by intensity:
| 2θ (°) | intensity | index |
| --- | --- | --- |
| 37.87 | 100 | 1 1 0 |
| 37.29 | 91 | 1 0 -3 |
| 24.88 | 60 | 1 0 -1 |
| 42.04 | 34 | 0 1 3 |
| 43.76 | 33 | 2 -1 0 |
| 25.24 | 28 | 0 1 1 |
| 45.17 | 26 | 0 2 -3 |
| 62.29 | 21 | 2 0 3 |
| 20.64 | 20 | 0 0 2 |
| 64.71 | 18 | 2 1 -3 |
| 74.42 | 13 | 1 2 3 |
| 76.47 | 13 | 3 0 0 |

```
data_Li2Tl3Pd4
_chemical_formula_sum 'Li2 Tl3 Pd4'
_cell_length_a 4.1377
_cell_length_b 4.9625
_cell_length_c 8.9218
_cell_angle_alpha 103.83
_cell_angle_beta 90.08
_cell_angle_gamma 114.59
_symmetry_space_group_name_H-M 'P -1'
_symmetry_Int_Tables_number 2
_symmetry_space_group_name_Hall '-P 1'
loop_
_atom_site_label
_atom_site_fract_x
_atom_site_fract_y
_atom_site_fract_z
_atom_site_occupancy
Li1 0.1678 0.3360 0.2089 1
Tl1 0.1684 0.3367 0.5847 1
Tl2 0.5000 0.0000 0.0000 1
Pd1 0.1665 0.3327 0.8998 1
Pd2 0.4956 0.9905 0.6804 1
```


No. 4
Structure and calculated X-ray diffraction stick pattern of Li7Tl3Pd (a cell relaxed with PBE; CuKα).
Intensities are scaled so that the largest is 100.

Top 12 peaks for 10 to 80 degrees two-theta, by intensity:
| 2θ (°) | intensity | index |
| --- | --- | --- |
| 21.90 | 100 | 0 4 2 |
| 23.97 | 42 | 0 0 4 |
| 39.84 | 26 | 1 5 2 |
| 40.95 | 20 | 0 4 6 |
| 38.83 | 18 | 1 1 4 |
| 30.09 | 16 | 1 1 0 |
| 35.08 | 13 | 1 3 2 |
| 37.10 | 12 | 0 8 0 |
| 44.66 | 12 | 0 8 4 |
| 35.24 | 11 | 1 1 3 |
| 49.10 | 11 | 0 0 8 |
| 58.27 | 11 | 1 9 4 |

```
data_Li7Tl3Pd
_chemical_formula_sum 'Li28 Tl12 Pd4'
_cell_length_a 3.0056
_cell_length_b 19.3851
_cell_length_c 14.8477
_cell_angle_alpha 90.00
_cell_angle_beta 90.00
_cell_angle_gamma 90.00
_symmetry_space_group_name_H-M 'C m c m'
_symmetry_Int_Tables_number 63
_symmetry_space_group_name_Hall '-C 2c 2'
loop_
_atom_site_label
_atom_site_fract_x
_atom_site_fract_y
_atom_site_fract_z
_atom_site_occupancy
Li1 0.0000 0.0099 0.1011 1
Li2 0.0000 0.1057 0.2500 1
Li3 0.0000 0.1147 0.6636 1
Li4 0.0000 0.2443 0.5833 1
Tl1 0.0000 0.2641 0.2500 1
Tl2 0.0000 0.3806 0.5119 1
Pd1 0.0000 0.4831 0.2500 1
```


No. 5
Structure and calculated X-ray diffraction stick pattern of Li2TlPd8 (a cell relaxed with PBE; CuKα).
Intensities are scaled so that the largest is 100.

Top 12 peaks for 10 to 80 degrees two-theta, by intensity:
| 2θ (°) | intensity | index |
| --- | --- | --- |
| 40.72 | 100 | 1 2 3 |
| 29.13 | 40 | 1 1 2 |
| 38.90 | 32 | 1 1 4 |
| 43.76 | 25 | 2 0 0 |
| 40.16 | 25 | 0 3 1 |
| 14.82 | 23 | 0 1 1 |
| 44.42 | 22 | 0 0 6 |
| 64.12 | 15 | 2 0 6 |
| 60.89 | 14 | 2 3 1 |
| 78.33 | 14 | 3 2 3 |
| 79.26 | 12 | 1 2 9 |
| 71.49 | 8 | 2 4 0 |

```
data_Li2TlPd8
_chemical_formula_sum 'Li4 Tl2 Pd16'
_cell_length_a 4.1372
_cell_length_b 6.8528
_cell_length_c 12.2365
_cell_angle_alpha 90.00
_cell_angle_beta 90.00
_cell_angle_gamma 90.00
_symmetry_space_group_name_H-M 'I m m m'
_symmetry_Int_Tables_number 71
_symmetry_space_group_name_Hall '-I 2 2'
loop_
_atom_site_label
_atom_site_fract_x
_atom_site_fract_y
_atom_site_fract_z
_atom_site_occupancy
Li1 0.0000 0.0000 0.1992 1
Tl1 0.0000 0.0000 0.5000 1
Pd1 0.0000 0.1930 0.0000 1
Pd2 0.0000 0.2881 0.3402 1
Pd3 0.0000 0.5000 0.1536 1
```


No. 6
Structure and calculated X-ray diffraction stick pattern of LiTl2Pd2 (a cell relaxed with PBE; CuKα).
Intensities are scaled so that the largest is 100.

Top 12 peaks for 10 to 80 degrees two-theta, by intensity:
| 2θ (°) | intensity | index |
| --- | --- | --- |
| 22.97 | 100 | 1 0 1 |
| 41.34 | 83 | 1 1 4 |
| 40.06 | 39 | 1 0 5 |
| 44.86 | 37 | 2 0 0 |
| 34.06 | 35 | 1 1 2 |
| 29.67 | 24 | 1 0 3 |
| 50.99 | 24 | 2 1 1 |
| 61.70 | 22 | 2 1 5 |
| 13.07 | 22 | 0 0 2 |
| 61.60 | 13 | 2 0 6 |
| 72.88 | 13 | 2 0 8 |
| 65.32 | 12 | 2 2 0 |

```
data_LiTl2Pd2
_chemical_formula_sum 'Li2 Tl4 Pd4'
_cell_length_a 4.0407
_cell_length_b 4.0407
_cell_length_c 13.5486
_cell_angle_alpha 90.00
_cell_angle_beta 90.00
_cell_angle_gamma 90.00
_symmetry_space_group_name_H-M 'I 4/m m m'
_symmetry_Int_Tables_number 139
_symmetry_space_group_name_Hall '-I 4 2'
loop_
_atom_site_label
_atom_site_fract_x
_atom_site_fract_y
_atom_site_fract_z
_atom_site_occupancy
Li1 0.0000 0.0000 0.0000 1
Tl1 0.0000 0.0000 0.3891 1
Pd1 0.0000 0.5000 0.2500 1
```


No. 7
Structure and calculated X-ray diffraction stick pattern of Li2TlPd5 (a cell relaxed with PBE; CuKα).
Intensities are scaled so that the largest is 100.

Top 12 peaks for 10 to 80 degrees two-theta, by intensity:
| 2θ (°) | intensity | index |
| --- | --- | --- |
| 39.36 | 100 | 2 2 2 |
| 32.28 | 27 | 2 2 0 |
| 21.87 | 18 | 0 0 2 |
| 21.97 | 18 | 0 2 0 |
| 44.59 | 18 | 0 0 4 |
| 44.81 | 17 | 0 4 0 |
| 47.85 | 14 | 4 0 0 |
| 78.61 | 13 | 2 2 6 |
| 78.93 | 13 | 2 6 2 |
| 65.07 | 11 | 0 4 4 |
| 67.46 | 10 | 4 0 4 |
| 67.63 | 10 | 4 4 0 |

```
data_Li2TlPd5
_chemical_formula_sum 'Li8 Tl4 Pd20'
_cell_length_a 7.6044
_cell_length_b 8.0903
_cell_length_c 8.1282
_cell_angle_alpha 90.00
_cell_angle_beta 90.00
_cell_angle_gamma 90.00
_symmetry_space_group_name_H-M 'F m m m'
_symmetry_Int_Tables_number 69
_symmetry_space_group_name_Hall '-F 2 2'
loop_
_atom_site_label
_atom_site_fract_x
_atom_site_fract_y
_atom_site_fract_z
_atom_site_occupancy
Li1 0.0000 0.2500 0.2500 1
Tl1 0.0000 0.0000 0.0000 1
Pd1 0.0000 0.0000 0.5000 1
Pd2 0.2500 0.0000 0.2500 1
Pd3 0.2500 0.2500 0.0000 1
```


No. 8
Structure and calculated X-ray diffraction stick pattern of Li2TlPd2 (a cell relaxed with PBE; CuKα).
Intensities are scaled so that the largest is 100.

Top 12 peaks for 10 to 80 degrees two-theta, by intensity:
| 2θ (°) | intensity | index |
| --- | --- | --- |
| 14.15 | 100 | 0 0 1 |
| 42.15 | 52 | 1 1 1 |
| 28.78 | 43 | 1 0 -2 |
| 36.67 | 40 | 1 1 -1 |
| 40.96 | 38 | 1 0 2 |
| 33.43 | 26 | 0 1 1 |
| 38.83 | 25 | 2 0 -1 |
| 52.15 | 14 | 2 1 0 |
| 41.53 | 14 | 2 0 0 |
| 77.60 | 12 | 1 2 2 |
| 30.13 | 11 | 0 1 0 |
| 53.71 | 11 | 0 1 3 |

```
data_Li2TlPd2
_chemical_formula_sum 'Li2 Tl1 Pd2'
_cell_length_a 4.6382
_cell_length_b 2.9662
_cell_length_c 6.6719
_cell_angle_alpha 90.00
_cell_angle_beta 110.24
_cell_angle_gamma 90.00
_symmetry_space_group_name_H-M 'P 1 m 1'
_symmetry_Int_Tables_number 6
_symmetry_space_group_name_Hall 'P -2y'
loop_
_atom_site_label
_atom_site_fract_x
_atom_site_fract_y
_atom_site_fract_z
_atom_site_occupancy
Li1 0.0000 0.0000 0.0000 1
Li2 0.4364 0.5000 0.8735 1
Tl1 0.2347 0.0000 0.4702 1
Pd1 0.6106 0.0000 0.2209 1
Pd2 0.8141 0.5000 0.6296 1
```


No. 9
Structure and calculated X-ray diffraction stick pattern of LiTm4Pd3 (a cell relaxed with PBE; CuKα).
Intensities are scaled so that the largest is 100.

Top 12 peaks for 10 to 80 degrees two-theta, by intensity:
| 2θ (°) | intensity | index |
| --- | --- | --- |
| 36.55 | 100 | 1 1 4 |
| 36.34 | 52 | 2 0 0 |
| 65.52 | 36 | 3 1 4 |
| 52.33 | 18 | 2 2 0 |
| 65.92 | 17 | 2 0 8 |
| 25.48 | 15 | 1 1 0 |
| 77.67 | 10 | 2 2 8 |
| 52.95 | 8 | 0 0 8 |
| 25.76 | 8 | 0 0 4 |
| 45.08 | 7 | 2 0 4 |
| 77.17 | 6 | 4 0 0 |
| 26.43 | 6 | 1 0 3 |

```
data_LiTm4Pd3
_chemical_formula_sum 'Li2 Tm8 Pd6'
_cell_length_a 4.9446
_cell_length_b 4.9446
_cell_length_c 13.8339
_cell_angle_alpha 90.00
_cell_angle_beta 90.00
_cell_angle_gamma 90.00
_symmetry_space_group_name_H-M 'I 4/m m m'
_symmetry_Int_Tables_number 139
_symmetry_space_group_name_Hall '-I 4 2'
loop_
_atom_site_label
_atom_site_fract_x
_atom_site_fract_y
_atom_site_fract_z
_atom_site_occupancy
Li1 0.0000 0.0000 0.0000 1
Tm1 0.0000 0.5000 0.1278 1
Pd1 0.0000 0.0000 0.2376 1
Pd2 0.0000 0.0000 0.5000 1
```


No. 10
Structure and calculated X-ray diffraction stick pattern of Li2Tm2Pd5 (a cell relaxed with PBE; CuKα).
Intensities are scaled so that the largest is 100.

Top 12 peaks for 10 to 80 degrees two-theta, by intensity:
| 2θ (°) | intensity | index |
| --- | --- | --- |
| 36.10 | 100 | 0 4 2 |
| 37.94 | 87 | 2 4 0 |
| 41.03 | 72 | 2 0 2 |
| 63.96 | 36 | 2 8 2 |
| 70.37 | 28 | 2 4 4 |
| 20.19 | 26 | 1 0 1 |
| 73.86 | 24 | 4 4 2 |
| 46.80 | 23 | 0 8 0 |
| 30.71 | 21 | 1 4 1 |
| 11.40 | 14 | 0 2 0 |
| 56.82 | 14 | 0 0 4 |
| 76.59 | 11 | 0 8 4 |

```
data_Li2Tm2Pd5
_chemical_formula_sum 'Li8 Tm8 Pd20'
_cell_length_a 5.9904
_cell_length_b 15.5306
_cell_length_c 6.4814
_cell_angle_alpha 90.00
_cell_angle_beta 90.00
_cell_angle_gamma 90.00
_symmetry_space_group_name_H-M 'I m m a'
_symmetry_Int_Tables_number 74
_symmetry_space_group_name_Hall '-I 2b 2'
loop_
_atom_site_label
_atom_site_fract_x
_atom_site_fract_y
_atom_site_fract_z
_atom_site_occupancy
Li1 0.0000 0.0710 0.0031 1
Tm1 0.0000 0.0000 0.5000 1
Tm2 0.0000 0.2500 0.5045 1
Pd1 0.0000 0.2500 0.9965 1
Pd2 0.2500 0.1263 0.7500 1
Pd3 0.2500 0.1295 0.2500 1
```


No. 11
Structure and calculated X-ray diffraction stick pattern of Li2Tm3Pd3 (a cell relaxed with PBE; CuKα).
Intensities are scaled so that the largest is 100.

Top 12 peaks for 10 to 80 degrees two-theta, by intensity:
| 2θ (°) | intensity | index |
| --- | --- | --- |
| 37.08 | 100 | 2 1 1 |
| 21.49 | 51 | 1 1 0 |
| 32.82 | 38 | 0 0 2 |
| 39.57 | 24 | 1 1 2 |
| 61.41 | 23 | 2 1 3 |
| 37.69 | 22 | 3 0 0 |
| 50.82 | 17 | 3 0 2 |
| 58.69 | 17 | 3 2 1 |
| 48.80 | 14 | 3 1 1 |
| 76.03 | 11 | 5 1 1 |
| 12.36 | 10 | 1 0 0 |
| 62.00 | 10 | 4 0 2 |

```
data_Li2Tm3Pd3
_chemical_formula_sum 'Li4 Tm6 Pd6'
_cell_length_a 8.2684
_cell_length_b 8.2684
_cell_length_c 5.4571
_cell_angle_alpha 90.00
_cell_angle_beta 90.00
_cell_angle_gamma 120.00
_symmetry_space_group_name_H-M 'P 63/m c m'
_symmetry_Int_Tables_number 193
_symmetry_space_group_name_Hall '-P 6c 2'
loop_
_atom_site_label
_atom_site_fract_x
_atom_site_fract_y
_atom_site_fract_z
_atom_site_occupancy
Li1 0.3333 0.6667 0.0000 1
Tm1 0.0000 0.2595 0.2500 1
Pd1 0.0000 0.3948 0.7500 1
```


No. 12
Structure and calculated X-ray diffraction stick pattern of Li2Y2TmPd5 (a cell relaxed with PBE; CuKα).
Intensities are scaled so that the largest is 100.

Top 12 peaks for 10 to 80 degrees two-theta, by intensity:
| 2θ (°) | intensity | index |
| --- | --- | --- |
| 37.79 | 100 | 3 1 1 |
| 37.42 | 43 | 4 1 0 |
| 31.70 | 43 | 2 1 1 |
| 35.47 | 36 | 2 2 1 |
| 40.72 | 32 | 4 2 0 |
| 41.07 | 22 | 3 2 1 |
| 72.18 | 22 | 7 1 1 |
| 49.82 | 20 | 0 0 2 |
| 63.93 | 17 | 4 1 2 |
| 12.63 | 17 | 1 1 0 |
| 66.23 | 15 | 4 2 2 |
| 32.58 | 12 | 3 2 0 |

```
data_Li2Y2TmPd5
_chemical_formula_sum 'Li4 Y4 Tm2 Pd10'
_cell_length_a 9.9095
_cell_length_b 9.9095
_cell_length_c 3.6607
_cell_angle_alpha 90.00
_cell_angle_beta 90.00
_cell_angle_gamma 90.00
_symmetry_space_group_name_H-M 'P 4/m b m'
_symmetry_Int_Tables_number 127
_symmetry_space_group_name_Hall '-P 4 2ab'
loop_
_atom_site_label
_atom_site_fract_x
_atom_site_fract_y
_atom_site_fract_z
_atom_site_occupancy
Li1 0.1206 0.3794 0.0000 1
Y1 0.1750 0.6750 0.0000 1
Tm1 0.0000 0.0000 0.0000 1
Pd1 0.0000 0.5000 0.5000 1
Pd2 0.0693 0.2128 0.5000 1
```


No. 13
Structure and calculated X-ray diffraction stick pattern of LiVPd4 (a cell relaxed with PBE; CuKα).
Intensities are scaled so that the largest is 100.

Top 12 peaks for 10 to 80 degrees two-theta, by intensity:
| 2θ (°) | intensity | index |
| --- | --- | --- |
| 40.80 | 100 | 2 1 0 |
| 42.23 | 50 | 3 0 4 |
| 24.09 | 24 | 1 0 4 |
| 42.46 | 22 | 0 0 8 |
| 60.31 | 16 | 2 1 8 |
| 23.97 | 13 | 2 0 0 |
| 60.07 | 9 | 4 1 0 |
| 43.89 | 8 | 2 1 3 |
| 76.15 | 7 | 5 1 4 |
| 76.31 | 7 | 4 1 8 |
| 67.97 | 6 | 0 2 0 |
| 76.58 | 6 | 1 1 12 |

```
data_LiVPd4
_chemical_formula_sum 'Li4 V4 Pd16'
_cell_length_a 7.4258
_cell_length_b 2.7584
_cell_length_c 17.0317
_cell_angle_alpha 90.00
_cell_angle_beta 90.00
_cell_angle_gamma 90.00
_symmetry_space_group_name_H-M 'P n m a'
_symmetry_Int_Tables_number 62
_symmetry_space_group_name_Hall '-P 2ac 2n'
loop_
_atom_site_label
_atom_site_fract_x
_atom_site_fract_y
_atom_site_fract_z
_atom_site_occupancy
Li1 0.2476 0.2500 0.1877 1
V1 0.2500 0.2500 0.9359 1
Pd1 0.0540 0.2500 0.0655 1
Pd2 0.0775 0.2500 0.8020 1
Pd3 0.0936 0.2500 0.3261 1
Pd4 0.1074 0.2500 0.5552 1
```